(1)
This entry pairs a crystal structure of Pr3Tm7Sc with its theoretical powder XRD pattern. Radiation: λ = 1.5418 Å (Cu Kα). Structure: a cell relaxed with GGA-PBE.

The 12 most intense peaks (10° ≤ 2θ ≤ 80°), by intensity:
2θ = 31.4°, d = 2.849 Å, I = 100.0, hkl 2 0 1; 2θ = 36.4°, d = 2.470 Å, I = 68.4, hkl 0 2 2; 2θ = 62.4°, d = 1.488 Å, I = 41.5, hkl 0 4 1; 2θ = 31.3°, d = 2.860 Å, I = 32.9, hkl 0 0 3; 2θ = 52.5°, d = 1.744 Å, I = 23.5, hkl 2 2 0; 2θ = 52.3°, d = 1.749 Å, I = 23.3, hkl 2 0 4; 2θ = 62.2°, d = 1.492 Å, I = 14.4, hkl 0 2 5; 2θ = 18.0°, d = 4.939 Å, I = 12.4, hkl 0 1 1; 2θ = 65.5°, d = 1.424 Å, I = 12.3, hkl 4 0 2; 2θ = 10.3°, d = 8.581 Å, I = 9.7, hkl 0 0 1; 2θ = 25.5°, d = 3.493 Å, I = 9.7, hkl 1 0 2; 2θ = 77.3°, d = 1.235 Å, I = 7.4, hkl 0 4 4

```
data_Pr3Tm7Sc
_space_group_name_H-M_alt 'P 3 m 1'
_space_group_IT_number 156
_space_group_name_Hall 'P 3 -2"'
_cell_length_a 6.9745
_cell_length_b 6.9745
_cell_length_c 8.5809
_cell_angle_alpha 90.00
_cell_angle_beta 90.00
_cell_angle_gamma 120.00
loop_
_atom_site_label
_atom_site_type_symbol
_atom_site_fract_x
_atom_site_fract_y
_atom_site_fract_z
Pr1 Pr 0.0015 0.5008 0.0000
Tm1 Tm 0.1681 0.3362 0.6556
Tm2 Tm 0.3349 0.1675 0.3368
Tm3 Tm 0.6667 0.3333 0.6580
Sc1 Sc 0.3333 0.6667 0.3392
```



(2)
This entry pairs a crystal structure of PrTm2Sc7 with its theoretical powder XRD pattern. Radiation: λ = 1.5418 Å (Cu Kα). Structure: a cell relaxed with GGA-PBE.

The 12 most intense peaks (10° ≤ 2θ ≤ 80°), by intensity:
2θ = 32.7°, d = 2.736 Å, I = 100.0, hkl 5 1 0; 2θ = 54.7°, d = 1.677 Å, I = 22.0, hkl 6 2 -2; 2θ = 18.8°, d = 4.721 Å, I = 17.6, hkl 2 0 1; 2θ = 37.8°, d = 2.379 Å, I = 16.7, hkl 6 0 -2; 2θ = 38.0°, d = 2.368 Å, I = 16.5, hkl 0 2 0; 2θ = 38.1°, d = 2.360 Å, I = 16.3, hkl 4 0 2; 2θ = 26.6°, d = 3.357 Å, I = 15.7, hkl 3 1 -1; 2θ = 65.1°, d = 1.433 Å, I = 12.9, hkl 7 1 -4; 2θ = 65.3°, d = 1.428 Å, I = 12.8, hkl 5 3 0; 2θ = 65.5°, d = 1.425 Å, I = 12.6, hkl 3 1 4; 2θ = 54.9°, d = 1.672 Å, I = 10.9, hkl 4 2 2; 2θ = 68.6°, d = 1.368 Å, I = 10.9, hkl 2 2 -4

```
data_PrTm2Sc7
_space_group_name_H-M_alt 'C 1 2/m 1'
_space_group_IT_number 12
_space_group_name_Hall '-C 2y'
_cell_length_a 17.116
_cell_length_b 4.735
_cell_length_c 6.702
_cell_angle_alpha 90.00
_cell_angle_beta 101.75
_cell_angle_gamma 90.00
loop_
_atom_site_label
_atom_site_type_symbol
_atom_site_fract_x
_atom_site_fract_y
_atom_site_fract_z
Pr1 Pr 0.000 0.000 0.000
Tm1 Tm 0.198 0.000 0.602
Sc1 Sc 0.000 0.000 0.500
Sc2 Sc 0.100 0.500 0.303
Sc3 Sc 0.102 0.500 0.800
Sc4 Sc 0.201 0.000 0.100
```



(3)
This entry pairs a crystal structure of Pr8TmSc5 with its theoretical powder XRD pattern. Radiation: λ = 1.5418 Å (Cu Kα). Structure: a cell relaxed with GGA-PBE.

The 12 most intense peaks (10° ≤ 2θ ≤ 80°), by intensity:
2θ = 28.2°, d = 3.169 Å, I = 100.0, hkl 1 0 3; 2θ = 34.8°, d = 2.580 Å, I = 93.7, hkl 3 1 2; 2θ = 34.0°, d = 2.636 Å, I = 85.6, hkl 1 2 3; 2θ = 22.7°, d = 3.915 Å, I = 84.9, hkl 2 1 1; 2θ = 35.2°, d = 2.549 Å, I = 79.5, hkl 2 3 1; 2θ = 29.7°, d = 3.004 Å, I = 79.1, hkl 3 1 0; 2θ = 29.6°, d = 3.021 Å, I = 76.1, hkl 3 0 1; 2θ = 47.1°, d = 1.931 Å, I = 35.6, hkl 3 1 4; 2θ = 46.4°, d = 1.957 Å, I = 33.2, hkl 2 4 2; 2θ = 63.4°, d = 1.467 Å, I = 32.1, hkl 3 1 6; 2θ = 56.7°, d = 1.624 Å, I = 29.6, hkl 2 4 4; 2θ = 59.2°, d = 1.562 Å, I = 27.2, hkl 5 2 3

```
data_Pr8TmSc5
_space_group_name_H-M_alt 'I -4'
_space_group_IT_number 82
_space_group_name_Hall 'I -4'
_cell_length_a 9.498
_cell_length_b 9.498
_cell_length_c 10.085
_cell_angle_alpha 90.00
_cell_angle_beta 90.00
_cell_angle_gamma 90.00
loop_
_atom_site_label
_atom_site_type_symbol
_atom_site_fract_x
_atom_site_fract_y
_atom_site_fract_z
Pr1 Pr 0.068 0.329 0.412
Pr2 Pr 0.096 0.175 0.749
Tm1 Tm 0.000 0.500 0.750
Sc1 Sc 0.000 0.000 0.500
Sc2 Sc 0.105 0.196 0.071
```



(4)
This entry pairs a crystal structure of Pr2Tm3Sc4 with its theoretical powder XRD pattern. Radiation: λ = 1.5418 Å (Cu Kα). Structure: a cell relaxed with GGA-PBE.

The 12 most intense peaks (10° ≤ 2θ ≤ 80°), by intensity:
2θ = 33.1°, d = 2.709 Å, I = 100.0, hkl 4 2 1; 2θ = 31.7°, d = 2.821 Å, I = 59.8, hkl 1 1 -2; 2θ = 31.5°, d = 2.841 Å, I = 53.2, hkl 5 1 -1; 2θ = 32.0°, d = 2.799 Å, I = 48.3, hkl 0 4 0; 2θ = 39.0°, d = 2.308 Å, I = 32.1, hkl 5 3 -1; 2θ = 39.2°, d = 2.297 Å, I = 26.0, hkl 1 3 -2; 2θ = 58.0°, d = 1.591 Å, I = 24.6, hkl 6 2 -3; 2θ = 29.4°, d = 3.040 Å, I = 23.5, hkl 1 3 1; 2θ = 23.9°, d = 3.721 Å, I = 21.3, hkl 2 2 -1; 2θ = 18.6°, d = 4.775 Å, I = 19.8, hkl 3 1 0; 2θ = 53.1°, d = 1.726 Å, I = 16.9, hkl 3 1 3; 2θ = 57.7°, d = 1.598 Å, I = 15.7, hkl 4 6 1

```
data_Pr2Tm3Sc4
_space_group_name_H-M_alt 'C 1 2/c 1'
_space_group_IT_number 15
_space_group_name_Hall '-C 2yc'
_cell_length_a 15.959
_cell_length_b 11.196
_cell_length_c 5.841
_cell_angle_alpha 90.00
_cell_angle_beta 97.12
_cell_angle_gamma 90.00
loop_
_atom_site_label
_atom_site_type_symbol
_atom_site_fract_x
_atom_site_fract_y
_atom_site_fract_z
Pr1 Pr 0.126 0.144 0.311
Tm1 Tm 0.000 0.111 0.750
Tm2 Tm 0.162 0.399 0.615
Sc1 Sc 0.045 0.370 0.024
Sc2 Sc 0.226 0.139 0.845
```



(5)
This entry pairs a crystal structure of Pr5Tm4Sc2 with its theoretical powder XRD pattern. Radiation: λ = 1.5418 Å (Cu Kα). Structure: a cell relaxed with GGA-PBE.

The 12 most intense peaks (10° ≤ 2θ ≤ 80°), by intensity:
2θ = 31.7°, d = 2.822 Å, I = 100.0, hkl 1 1 2; 2θ = 31.1°, d = 2.871 Å, I = 93.4, hkl 1 1 -2; 2θ = 32.0°, d = 2.798 Å, I = 80.8, hkl 2 1 0; 2θ = 33.3°, d = 2.693 Å, I = 74.1, hkl 3 0 -2; 2θ = 30.5°, d = 2.932 Å, I = 64.9, hkl 3 0 -1; 2θ = 26.6°, d = 3.349 Å, I = 61.2, hkl 1 0 3; 2θ = 29.8°, d = 3.000 Å, I = 56.9, hkl 3 0 0; 2θ = 50.0°, d = 1.825 Å, I = 36.9, hkl 4 1 -2; 2θ = 32.2°, d = 2.780 Å, I = 34.8, hkl 2 0 3; 2θ = 33.4°, d = 2.683 Å, I = 33.5, hkl 1 0 -4; 2θ = 35.5°, d = 2.530 Å, I = 33.5, hkl 2 1 -2; 2θ = 57.5°, d = 1.602 Å, I = 31.7, hkl 5 1 -1

```
data_Pr5Tm4Sc2
_space_group_name_H-M_alt 'P 1 2/m 1'
_space_group_IT_number 10
_space_group_name_Hall '-P 2y'
_cell_length_a 9.012
_cell_length_b 3.572
_cell_length_c 11.073
_cell_angle_alpha 90.00
_cell_angle_beta 93.05
_cell_angle_gamma 90.00
loop_
_atom_site_label
_atom_site_type_symbol
_atom_site_fract_x
_atom_site_fract_y
_atom_site_fract_z
Pr1 Pr 0.000 0.000 0.000
Pr2 Pr 0.061 0.000 0.328
Pr3 Pr 0.342 0.000 0.857
Tm1 Tm 0.258 0.500 0.572
Tm2 Tm 0.312 0.500 0.136
Sc1 Sc 0.433 0.000 0.371
```



(6)
This entry pairs a crystal structure of Pr8Tm5Sc with its theoretical powder XRD pattern. Radiation: λ = 1.5418 Å (Cu Kα). Structure: a cell relaxed with GGA-PBE.

The 12 most intense peaks (10° ≤ 2θ ≤ 80°), by intensity:
2θ = 31.5°, d = 2.837 Å, I = 100.0, hkl 4 2 -1; 2θ = 31.3°, d = 2.856 Å, I = 96.1, hkl 5 1 -1; 2θ = 30.3°, d = 2.947 Å, I = 93.0, hkl 1 1 2; 2θ = 32.2°, d = 2.777 Å, I = 76.6, hkl 4 0 -3; 2θ = 29.7°, d = 3.005 Å, I = 61.5, hkl 2 2 -2; 2θ = 32.7°, d = 2.739 Å, I = 55.7, hkl 1 3 0; 2θ = 30.9°, d = 2.893 Å, I = 54.0, hkl 2 2 1; 2θ = 30.5°, d = 2.932 Å, I = 50.0, hkl 3 1 1; 2θ = 32.3°, d = 2.768 Å, I = 46.3, hkl 0 2 2; 2θ = 24.4°, d = 3.641 Å, I = 40.2, hkl 3 1 -2; 2θ = 36.6°, d = 2.455 Å, I = 35.0, hkl 0 0 3; 2θ = 33.7°, d = 2.662 Å, I = 30.4, hkl 1 3 -1

```
data_Pr8Tm5Sc
_space_group_name_H-M_alt 'C 1 2 1'
_space_group_IT_number 5
_space_group_name_Hall 'C 2y'
_cell_length_a 15.453
_cell_length_b 8.400
_cell_length_c 8.613
_cell_angle_alpha 90.00
_cell_angle_beta 121.30
_cell_angle_gamma 90.00
loop_
_atom_site_label
_atom_site_type_symbol
_atom_site_fract_x
_atom_site_fract_y
_atom_site_fract_z
Pr1 Pr 0.123 0.000 0.182
Pr2 Pr 0.171 0.599 0.214
Pr3 Pr 0.183 0.289 0.917
Pr4 Pr 0.185 0.778 0.569
Tm1 Tm 0.000 0.044 0.500
Tm2 Tm 0.050 0.691 0.771
Tm3 Tm 0.102 0.375 0.463
Sc1 Sc 0.000 0.341 0.000
```



(7)
This entry pairs a crystal structure of PrTm6Sc4 with its theoretical powder XRD pattern. Radiation: λ = 1.5418 Å (Cu Kα). Structure: a cell relaxed with GGA-PBE.

The 12 most intense peaks (10° ≤ 2θ ≤ 80°), by intensity:
2θ = 29.4°, d = 3.040 Å, I = 100.0, hkl 2 0 1; 2θ = 36.1°, d = 2.488 Å, I = 35.1, hkl 2 1 1; 2θ = 34.5°, d = 2.597 Å, I = 26.6, hkl 0 0 2; 2θ = 31.6°, d = 2.834 Å, I = 22.5, hkl 2 1 0; 2θ = 20.8°, d = 4.270 Å, I = 22.0, hkl 1 0 1; 2θ = 35.9°, d = 2.499 Å, I = 20.7, hkl 3 0 0; 2θ = 56.3°, d = 1.633 Å, I = 18.1, hkl 3 2 1; 2θ = 50.7°, d = 1.801 Å, I = 15.9, hkl 3 0 2; 2θ = 23.7°, d = 3.749 Å, I = 14.5, hkl 2 0 0; 2θ = 47.5°, d = 1.915 Å, I = 14.3, hkl 2 1 2; 2θ = 58.7°, d = 1.572 Å, I = 14.3, hkl 2 0 3; 2θ = 41.7°, d = 2.164 Å, I = 13.2, hkl 2 2 0

```
data_PrTm6Sc4
_space_group_name_H-M_alt 'P -6 m 2'
_space_group_IT_number 187
_space_group_name_Hall 'P -6 2'
_cell_length_a 8.6580
_cell_length_b 8.6580
_cell_length_c 5.1949
_cell_angle_alpha 90.00
_cell_angle_beta 90.00
_cell_angle_gamma 120.00
loop_
_atom_site_label
_atom_site_type_symbol
_atom_site_fract_x
_atom_site_fract_y
_atom_site_fract_z
Pr1 Pr 0.0000 0.0000 0.0000
Tm1 Tm 0.2037 0.4074 0.5000
Tm2 Tm 0.5344 0.0689 0.0000
Sc1 Sc 0.3333 0.6667 0.0000
Sc2 Sc 0.4248 0.2124 0.5000
```



(8)
This entry pairs a crystal structure of Pr2Tm12Sc with its theoretical powder XRD pattern. Radiation: λ = 1.5418 Å (Cu Kα). Structure: a cell relaxed with GGA-PBE.

The 12 most intense peaks (10° ≤ 2θ ≤ 80°), by intensity:
2θ = 30.5°, d = 2.927 Å, I = 100.0, hkl 0 1 7; 2θ = 33.0°, d = 2.712 Å, I = 80.7, hkl 0 2 0; 2θ = 33.9°, d = 2.641 Å, I = 57.1, hkl 1 1 4; 2θ = 31.2°, d = 2.865 Å, I = 41.6, hkl 1 1 2; 2θ = 33.8°, d = 2.651 Å, I = 41.1, hkl 0 1 8; 2θ = 30.4°, d = 2.945 Å, I = 34.9, hkl 1 1 -1; 2θ = 33.4°, d = 2.680 Å, I = 30.7, hkl 1 1 -4; 2θ = 33.3°, d = 2.691 Å, I = 28.8, hkl 1 0 -6; 2θ = 47.6°, d = 1.911 Å, I = 25.6, hkl 1 2 -6; 2θ = 62.8°, d = 1.480 Å, I = 23.2, hkl 2 2 0; 2θ = 51.7°, d = 1.767 Å, I = 22.2, hkl 2 0 0; 2θ = 59.5°, d = 1.553 Å, I = 21.6, hkl 1 3 4

```
data_Pr2Tm12Sc
_space_group_name_H-M_alt 'P 1 2/m 1'
_space_group_IT_number 10
_space_group_name_Hall '-P 2y'
_cell_length_a 3.534
_cell_length_b 5.423
_cell_length_c 24.314
_cell_angle_alpha 90.00
_cell_angle_beta 91.20
_cell_angle_gamma 90.00
loop_
_atom_site_label
_atom_site_type_symbol
_atom_site_fract_x
_atom_site_fract_y
_atom_site_fract_z
Pr1 Pr 0.215 0.000 0.278
Tm1 Tm 0.203 0.000 0.126
Tm2 Tm 0.228 0.500 0.939
Tm3 Tm 0.241 0.500 0.446
Tm4 Tm 0.261 0.000 0.569
Tm5 Tm 0.277 0.500 0.667
Tm6 Tm 0.296 0.500 0.802
Sc1 Sc 0.500 0.000 0.000
```